(1)
# TiV6Mo3
Theoretical XRD peak list, CuKα. Input: a PBE-relaxed structure.
Intensities are scaled so that the largest is 100.

Main lines, by angle (2θ = 5–70°):
| d/Å | Rel. int. | index |
| --- | --- | --- |
| 4.143 | 38 | 0 2 1 |
| 2.536 | 25 | 0 0 2 |
| 2.403 | 57 | 3 3 0 |
| 2.395 | 34 | 0 6 0 |
| 2.172 | 73 | 3 3 1 |
| 2.165 | 42 | 0 6 1 |
| 2.073 | 100 | 0 4 2 |
| 1.858 | 16 | 3 1 2 |
| 1.383 | 30 | 3 9 0 |
| 1.381 | 14 | 0 6 3 |

Unit cell a=8.338 b=14.361 c=5.072 alpha=90.00 beta=90.00 gamma=90.00
Space group Cmcm (No. 63)
Unique sites:
Ti  0.000  0.169  0.250
V  0.000  0.000  0.000
V  0.000  0.284  0.750
V  0.186  0.434  0.750
V  0.250  0.250  0.000
Mo  0.000  0.376  0.250
Mo  0.171  0.111  0.750



(2)
# Hg7P2O10
Theoretical XRD peak list, CuKα. Input: a PBE-relaxed structure.
Intensities are scaled so that the largest is 100.

Main lines, by angle (2θ = 5–70°):
| d/Å | Rel. int. | index |
| --- | --- | --- |
| 4.557 | 35 | 0 2 1 |
| 4.476 | 100 | 0 1 2 |
| 3.816 | 44 | 1 1 -2 |
| 3.155 | 50 | 0 1 3 |
| 2.917 | 27 | 1 3 -1 |
| 2.822 | 53 | 2 1 1 |
| 2.657 | 35 | 2 2 -1 |
| 2.563 | 33 | 0 4 0 |
| 2.549 | 35 | 2 2 1 |
| 2.014 | 26 | 2 1 -4 |

Unit cell a=6.366 b=10.253 c=9.996 alpha=90.00 beta=95.57 gamma=90.00
Space group P2_1/c (No. 14)
Unique sites:
Hg  0.000  0.000  0.000
Hg  0.262  0.139  0.646
Hg  0.308  0.619  0.808
Hg  0.485  0.649  0.408
P  0.000  0.147  0.351
O  0.000  0.211  0.791
O  0.038  0.656  0.998
O  0.181  0.566  0.227
O  0.223  0.091  0.335
O  0.313  0.534  0.563



Q: Which formula does entry 1 have?
A: TiV6Mo3